(1)
Simulated powder XRD pattern of Fe for Cu Kα, from a crystal structure in OQMD, relaxed with PBE.

Top 6 peaks for 10 to 80 degrees two-theta, by angle:
2θ/deg	I_rel
44.47	100
47.02	57
49.46	25
56.33	8
64.71	5
68.68	5

```
Fe
1.0
6.1114 0.0000 0.0000
0.0000 6.1114 0.0000
0.0000 0.0000 6.1114
Fe
20
direct
0.0468 0.1250 0.7968
0.0628 0.9372 0.4372
0.1250 0.7968 0.0468
0.1872 0.1872 0.1872
0.2032 0.5468 0.3750
0.2968 0.4532 0.8750
0.3128 0.8128 0.6872
0.3750 0.2032 0.5468
0.4372 0.0628 0.9372
0.4532 0.8750 0.2968
0.5468 0.3750 0.2032
0.5628 0.5628 0.5628
0.6250 0.7032 0.9532
0.6872 0.3128 0.8128
0.7032 0.9532 0.6250
0.7968 0.0468 0.1250
0.8128 0.6872 0.3128
0.8750 0.2968 0.4532
0.9372 0.4372 0.0628
0.9532 0.6250 0.7032
```

(2)
Simulated powder XRD pattern of Fe for Cu Kα, from a crystal structure in OQMD, relaxed with PBE.

Top 2 peaks for 10 to 80 degrees two-theta, by angle:
2θ/deg	I_rel
45.62	100
66.49	15

```
Fe
1.0
2.8124 0.0000 0.0000
0.0000 2.8124 0.0000
0.0000 0.0000 2.8124
Fe
2
direct
0.0000 0.0000 0.0000
0.5000 0.5000 0.5000
```

(3)
Simulated powder XRD pattern of Fe for Cu Kα, from a crystal structure in OQMD, relaxed with PBE.

Top 5 peaks for 10 to 80 degrees two-theta, by angle:
2θ/deg	I_rel
40.24	36
45.24	100
49.84	73
73.15	7
76.66	18

```
Fe
1.0
4.4817 0.0000 0.0000
0.0000 4.4817 0.0000
0.0000 0.0000 4.4817
Fe
8
direct
0.0000 0.0000 0.0000
0.0000 0.2500 0.5000
0.0000 0.7500 0.5000
0.2500 0.5000 0.0000
0.5000 0.0000 0.2500
0.5000 0.0000 0.7500
0.5000 0.5000 0.5000
0.7500 0.5000 0.0000
```

(4)
Simulated powder XRD pattern of Fe for Cu Kα, from a crystal structure in OQMD, relaxed with PBE.

Top 5 peaks for 10 to 80 degrees two-theta, by angle:
2θ/deg	I_rel
44.04	100
46.32	21
53.67	27
73.56	19
79.35	8

```
Fe
1.0
2.4150 0.0000 0.0000
0.0000 2.4150 0.0000
0.0000 0.0000 3.9204
Fe
2
direct
0.0000 0.0000 0.0000
0.5000 0.5000 0.5000
```

(5)
Simulated powder XRD pattern of GaFe2 for Cu Kα, from a crystal structure in OQMD, relaxed with PBE.

Top 6 peaks for 10 to 80 degrees two-theta, by angle:
2θ/deg	I_rel
37.44	36
44.21	100
46.29	32
67.53	12
72.25	28
79.85	23

```
GaFe2
1.0
0.0000 3.3974 3.3974
3.3974 0.0000 3.3974
3.3974 3.3974 0.0000
Ga Fe
2 4
direct
0.1250 0.1250 0.1250
0.8750 0.8750 0.8750
0.0000 0.5000 0.5000
0.5000 0.0000 0.5000
0.5000 0.5000 0.0000
0.5000 0.5000 0.5000
```

(6)
Simulated powder XRD pattern of GaFe2Ge for Cu Kα, from a crystal structure in OQMD, relaxed with PBE.

Top 5 peaks for 10 to 80 degrees two-theta, by angle:
2θ/deg	I_rel
31.02	2
44.44	100
55.18	1
64.66	15
73.44	1

```
GaFe2Ge
1.0
5.7663 0.0000 0.0000
0.0000 5.7663 0.0000
0.0000 0.0000 5.7663
Ga Fe Ge
4 8 4
direct
0.0000 0.0000 0.0000
0.0000 0.0000 0.5000
0.0000 0.5000 0.0000
0.5000 0.0000 0.0000
0.2544 0.2544 0.2544
0.2544 0.2544 0.7456
0.2544 0.7456 0.2544
0.2544 0.7456 0.7456
0.7456 0.2544 0.2544
0.7456 0.2544 0.7456
0.7456 0.7456 0.2544
0.7456 0.7456 0.7456
0.0000 0.5000 0.5000
0.5000 0.0000 0.5000
0.5000 0.5000 0.0000
0.5000 0.5000 0.5000
```

(7)
Simulated powder XRD pattern of Hf4Ga5Fe2 for Cu Kα, from a crystal structure in OQMD, relaxed with PBE.

Top 6 peaks for 10 to 80 degrees two-theta, by angle:
2θ/deg	I_rel
37.08	83
37.75	100
38.19	86
38.81	42
40.02	49
43.30	41

```
Hf4Ga5Fe2
1.0
6.9674 0.0000 0.0000
0.0000 3.2025 0.0000
-0.3804 0.0000 8.5318
Hf Ga Fe
4 5 2
direct
0.1898 0.0000 0.3556
0.2187 0.0000 0.9310
0.7813 0.0000 0.0690
0.8102 0.0000 0.6444
0.1510 0.5000 0.6394
0.4490 0.5000 0.1689
0.5000 0.5000 0.5000
0.5510 0.5000 0.8311
0.8490 0.5000 0.3606
0.0779 0.5000 0.1390
0.9221 0.5000 0.8610
```

(8)
Simulated powder XRD pattern of HfGaFePd for Cu Kα, from a crystal structure in OQMD, relaxed with PBE.

Top 6 peaks for 10 to 80 degrees two-theta, by angle:
2θ/deg	I_rel
24.22	21
40.07	100
47.38	11
57.96	17
63.74	5
72.80	33

```
HfGaFePd
1.0
6.3642 0.0000 0.0000
0.0000 6.3642 0.0000
0.0000 0.0000 6.3642
Hf Ga Fe Pd
4 4 4 4
direct
0.0000 0.0000 0.0000
0.0000 0.5000 0.5000
0.5000 0.0000 0.5000
0.5000 0.5000 0.0000
0.2500 0.2500 0.2500
0.2500 0.7500 0.7500
0.7500 0.2500 0.7500
0.7500 0.7500 0.2500
0.0000 0.0000 0.5000
0.0000 0.5000 0.0000
0.5000 0.0000 0.0000
0.5000 0.5000 0.5000
0.2500 0.2500 0.7500
0.2500 0.7500 0.2500
0.7500 0.2500 0.2500
0.7500 0.7500 0.7500
```